Diffraction record for CsCe4Pd3S12. The PXRD pattern is simulated, not measured: it uses a PBE-relaxed structure and Cu Ka.
Peak positions follow from Bragg's law for the DFT cell and can differ from measured ones.

Atomic structure:
```
data_CsCe4Pd3S12
_chemical_formula_sum 'Cs1 Ce4 Pd3 S12'
_cell_length_a 8.631
_cell_length_b 8.631
_cell_length_c 8.631
_cell_angle_alpha 109.47
_cell_angle_beta 109.47
_cell_angle_gamma 109.47
_space_group_name_H-M_alt 'P 1'
_space_group_IT_number 1
loop_
_space_group_symop_operation_xyz
'x,y,z'
loop_
_atom_site_label
_atom_site_fract_x
_atom_site_fract_y
_atom_site_fract_z
_atom_site_occupancy
Cs1 0.000 0.000 0.000 1
Ce1 0.000 0.000 0.500 1
Ce2 0.000 0.500 0.000 1
Ce3 0.500 0.000 0.000 1
Ce4 0.500 0.500 0.500 1
Pd1 0.000 0.500 0.500 1
Pd2 0.500 0.000 0.500 1
Pd3 0.500 0.500 0.000 1
S1 0.162 0.327 0.488 1
S2 0.162 0.673 0.835 1
S3 0.165 0.838 0.327 1
S4 0.327 0.165 0.838 1
S5 0.327 0.488 0.162 1
S6 0.488 0.162 0.327 1
S7 0.511 0.838 0.673 1
S8 0.673 0.511 0.838 1
S9 0.673 0.835 0.162 1
S10 0.835 0.162 0.673 1
S11 0.838 0.327 0.165 1
S12 0.838 0.673 0.511 1
```

Main lines, most intense first (10 to 90 degrees two-theta):
2θ/deg	Rel. int.
25.28	100.0
44.54	64.5
36.05	24.9
58.58	23.6
70.74	22.5
82.04	19.0
51.90	14.2
28.32	8.8